1.
Starting from DFT lattice parameters and positions (PBE+U), the powder XRD pattern of Ba2YMgFe3O8 was computed for copper Kα.
Kinematic intensities with the Lorentz-polarization factor, no thermal factor.

Cell and atoms:
Lattice parameters (Å, degrees): 3.9178 4.1290 14.2973 90.00 90.00 90.00
Element x y z (fractional)
Ba  0.0000  0.0000  0.0000
Ba  0.0000  0.0000  0.2663
Y  0.0000  0.0000  0.7159
Mg  0.0000  0.5000  0.4681
Fe  0.5000  0.5000  0.1307
Fe  0.5000  0.5000  0.5958
Fe  0.5000  0.5000  0.8501
O  0.0000  0.5000  0.1630
O  0.0000  0.5000  0.6042
O  0.0000  0.5000  0.8039
O  0.5000  0.0000  0.1513
O  0.5000  0.0000  0.6357
O  0.5000  0.0000  0.8319
O  0.5000  0.5000  0.4304
O  0.5000  0.5000  0.9815

Most intense lines, 2θ from 10° to 80°, sorted by position:
| 2theta | d_spacing | I_rel |
| --- | --- | --- |
| 28.60 | 3.121 | 71 |
| 31.48 | 2.842 | 96 |
| 33.15 | 2.702 | 76 |
| 33.95 | 2.641 | 100 |
| 43.85 | 2.064 | 48 |
| 55.39 | 1.659 | 67 |


2.
Starting from DFT lattice parameters and positions (PBE+U), the powder XRD pattern of MgFeF4 was computed for copper Kα.
Kinematic intensities with the Lorentz-polarization factor, no thermal factor.

Cell and atoms:
Lattice parameters (Å, degrees): 5.0450 5.0665 6.2339 66.07 66.34 89.93
Element x y z (fractional)
Mg  0.0000  0.0000  0.0000
Mg  0.4994  0.4989  0.0000
Fe  0.2516  0.7481  0.4983
Fe  0.7486  0.2471  0.5010
F  0.1087  0.1541  0.2400
F  0.1471  0.6551  0.2373
F  0.3559  0.8435  0.7575
F  0.3881  0.3406  0.7628
F  0.6103  0.1025  0.2360
F  0.6449  0.6002  0.2415
F  0.8525  0.8980  0.7637
F  0.8893  0.3999  0.7604

Most intense lines, 2θ from 10° to 80°, sorted by position:
| 2theta | d_spacing | I_rel |
| --- | --- | --- |
| 24.91 | 3.575 | 26 |
| 30.45 | 2.936 | 91 |
| 30.54 | 2.927 | 91 |
| 50.69 | 1.801 | 100 |
| 50.94 | 1.793 | 33 |
| 51.10 | 1.787 | 63 |


3.
Starting from DFT lattice parameters and positions (PBE+U), the powder XRD pattern of ZnCo2O5 was computed for copper Kα.
Kinematic intensities with the Lorentz-polarization factor, no thermal factor.

Cell and atoms:
Lattice parameters (Å, degrees): 3.2111 4.8693 11.4463 89.60 90.00 89.90
Element x y z (fractional)
Zn  0.0000  0.0000  0.0000
Zn  0.4995  0.7872  0.5019
Co  0.0014  0.3131  0.3512
Co  0.0010  0.3146  0.6492
Co  0.4985  0.4732  0.1489
Co  0.4993  0.4728  0.8491
O  0.9995  0.9775  0.6097
O  0.0007  0.2729  0.8136
O  0.0017  0.2759  0.1863
O  0.4990  0.5110  0.3143
O  0.4990  0.5157  0.6838
O  0.4998  0.3046  0.9992
O  0.5003  0.8102  0.1060
O  0.5006  0.8083  0.8899
O  0.9981  0.9765  0.3944
O  0.9991  0.4809  0.4996

Most intense lines, 2θ from 10° to 80°, sorted by position:
| 2theta | d_spacing | I_rel |
| --- | --- | --- |
| 18.22 | 4.869 | 42 |
| 23.91 | 3.721 | 51 |
| 24.08 | 3.696 | 48 |
| 33.43 | 2.681 | 78 |
| 34.34 | 2.611 | 63 |
| 36.57 | 2.457 | 100 |


4.
Starting from DFT lattice parameters and positions (PBE+U), the powder XRD pattern of FeOF was computed for copper Kα.
Kinematic intensities with the Lorentz-polarization factor, no thermal factor.

Cell and atoms:
Lattice parameters (Å, degrees): 4.7890 4.7890 6.0203 90.00 90.00 90.00
Element x y z (fractional)
Fe  0.0414  0.0414  0.0000
Fe  0.4586  0.5414  0.2500
Fe  0.5414  0.4586  0.7500
Fe  0.9586  0.9586  0.5000
O  0.1798  0.8202  0.2500
O  0.3202  0.3202  0.0000
O  0.6798  0.6798  0.5000
O  0.8202  0.1798  0.7500
F  0.2042  0.7958  0.7500
F  0.2958  0.2958  0.5000
F  0.7042  0.7042  0.0000
F  0.7958  0.2042  0.2500

Most intense lines, 2θ from 10° to 80°, sorted by position:
| 2theta | d_spacing | I_rel |
| --- | --- | --- |
| 26.32 | 3.386 | 100 |
| 35.22 | 2.549 | 50 |
| 40.08 | 2.250 | 21 |
| 44.92 | 2.018 | 16 |
| 52.43 | 1.745 | 50 |
| 66.27 | 1.410 | 16 |


5.
Starting from DFT lattice parameters and positions (PBE+U), the powder XRD pattern of BaSmEuMnO6 was computed for copper Kα.
Kinematic intensities with the Lorentz-polarization factor, no thermal factor.

Cell and atoms:
Lattice parameters (Å, degrees): 5.8990 5.8990 5.8990 60.00 60.00 60.00
Element x y z (fractional)
Ba  0.0000  0.0000  0.0000
Sm  0.2500  0.2500  0.2500
Eu  0.5000  0.5000  0.5000
Mn  0.7500  0.7500  0.7500
O  0.5201  0.5201  0.9799
O  0.5201  0.9799  0.5201
O  0.5201  0.9799  0.9799
O  0.9799  0.5201  0.5201
O  0.9799  0.5201  0.9799
O  0.9799  0.9799  0.5201

Most intense lines, 2θ from 10° to 80°, sorted by position:
| 2theta | d_spacing | I_rel |
| --- | --- | --- |
| 18.42 | 4.817 | 7 |
| 30.30 | 2.949 | 100 |
| 43.39 | 2.086 | 30 |
| 53.84 | 1.703 | 39 |
| 63.03 | 1.475 | 18 |
| 71.53 | 1.319 | 18 |


6.
Starting from DFT lattice parameters and positions (PBE+U), the powder XRD pattern of LiCo3OF5 was computed for copper Kα.
Kinematic intensities with the Lorentz-polarization factor, no thermal factor.

Cell and atoms:
Lattice parameters (Å, degrees): 6.0254 6.1729 6.1860 92.31 91.39 92.22
Element x y z (fractional)
Li  0.0000  0.0000  0.0000
Li  0.4871  0.4900  0.4878
Co  0.0483  0.7512  0.6018
Co  0.2425  0.4526  0.9362
Co  0.4239  0.9595  0.2599
Co  0.5597  0.0772  0.7337
Co  0.7663  0.6010  0.0584
Co  0.9081  0.2418  0.4176
O  0.0361  0.6787  0.9029
O  0.5852  0.1788  0.4383
F  0.0893  0.9569  0.3225
F  0.1696  0.4073  0.5697
F  0.3109  0.1207  0.9594
F  0.3967  0.8003  0.5906
F  0.4252  0.6077  0.1932
F  0.5707  0.4347  0.8232
F  0.6717  0.9206  0.0302
F  0.8118  0.5967  0.4010
F  0.9070  0.0503  0.7008
F  0.9493  0.3099  0.1030

Most intense lines, 2θ from 10° to 80°, sorted by position:
| 2theta | d_spacing | I_rel |
| --- | --- | --- |
| 26.11 | 3.413 | 100 |
| 31.87 | 2.808 | 65 |
| 32.10 | 2.788 | 55 |
| 32.76 | 2.734 | 53 |
| 32.97 | 2.716 | 34 |
| 47.03 | 1.932 | 34 |